Calculated X-ray diffraction stick pattern of Ce8Si2Os for Cu Kα (λ = 1.5418 Å), from a DFT-relaxed cell (GGA-PBE, Alexandria).
Neutral-atom scattering factors, no anomalous dispersion.

Largest 10 diffraction maxima, sorted by position, 10 to 80 degrees two-theta:
- 7.593 Å, 2θ = 11.7°, rel. 32, (2 0 0)
- 3.796 Å, 2θ = 23.4°, rel. 33, (4 0 0)
- 2.891 Å, 2θ = 30.9°, rel. 47, (1 1 -2)
- 2.813 Å, 2θ = 31.8°, rel. 66, (3 1 1)
- 2.728 Å, 2θ = 32.8°, rel. 45, (6 0 -1)
- 2.688 Å, 2θ = 33.3°, rel. 56, (5 1 -1)
- 2.596 Å, 2θ = 34.6°, rel. 100, (1 1 2)
- 2.452 Å, 2θ = 36.6°, rel. 68, (5 1 -2)
- 2.392 Å, 2θ = 37.6°, rel. 34, (4 0 -3)
- 2.369 Å, 2θ = 38.0°, rel. 80, (0 2 0)

Atomic structure:
Cell lengths 16.370, 4.738, 7.389 Å; angles 90.00, 111.94, 90.00 degrees
Space group C2/m (No. 12)
Asymmetric unit:
1 Ce 0.013 0.000 0.287
2 Ce 0.066 0.500 0.930
3 Ce 0.174 0.500 0.424
4 Ce 0.211 0.000 0.788
5 Si 0.168 0.000 0.152
6 Os 0.000 0.500 0.500

Calculated X-ray diffraction stick pattern of Ce2Th2Si4Os for Cu Kα (λ = 1.5418 Å), from a DFT-relaxed cell (GGA-PBE, Alexandria).
Neutral-atom scattering factors, no anomalous dispersion.

Largest 10 diffraction maxima, sorted by position, 10 to 80 degrees two-theta:
- 3.551 Å, 2θ = 25.1°, rel. 100, (2 0 0)
- 3.147 Å, 2θ = 28.4°, rel. 50, (1 1 2)
- 2.667 Å, 2θ = 33.6°, rel. 45, (2 0 2)
- 2.513 Å, 2θ = 35.7°, rel. 96, (2 2 0)
- 2.054 Å, 2θ = 44.1°, rel. 30, (2 1 3)
- 1.963 Å, 2θ = 46.3°, rel. 28, (3 1 2)
- 1.776 Å, 2θ = 51.4°, rel. 33, (4 0 0)
- 1.589 Å, 2θ = 58.1°, rel. 35, (4 2 0)
- 1.478 Å, 2θ = 62.9°, rel. 15, (4 2 2)
- 1.256 Å, 2θ = 75.7°, rel. 17, (4 4 0)

Atomic structure:
Cell lengths 7.102, 7.102, 8.077 Å; angles 90.00, 90.00, 90.00 degrees
Space group I4/mmm (No. 139)
Asymmetric unit:
1 Ce 0.000 0.000 0.176
2 Th 0.000 0.500 0.250
3 Si 0.242 0.242 0.500
4 Os 0.000 0.000 0.500

Calculated X-ray diffraction stick pattern of Ce6Sn3Os for Cu Kα (λ = 1.5418 Å), from a DFT-relaxed cell (GGA-PBE, Alexandria).
Neutral-atom scattering factors, no anomalous dispersion.

Largest 10 diffraction maxima, sorted by position, 10 to 80 degrees two-theta:
- 4.086 Å, 2θ = 21.8°, rel. 10, (2 0 2)
- 3.294 Å, 2θ = 27.1°, rel. 9, (1 2 2)
- 3.214 Å, 2θ = 27.8°, rel. 14, (3 0 0)
- 2.783 Å, 2θ = 32.2°, rel. 12, (2 2 0)
- 2.724 Å, 2θ = 32.9°, rel. 100, (0 3 3)
- 2.646 Å, 2θ = 33.9°, rel. 16, (2 1 4)
- 2.566 Å, 2θ = 35.0°, rel. 10, (0 0 6)
- 2.005 Å, 2θ = 45.2°, rel. 22, (3 0 6)
- 1.855 Å, 2θ = 49.1°, rel. 28, (3 3 0)
- 1.533 Å, 2θ = 60.4°, rel. 14, (6 0 3)

Atomic structure:
Cell lengths 11.1320, 11.1320, 15.3980 Å; angles 90.00, 90.00, 120.00 degrees
Space group R-3m (No. 166, hexagonal axes)
Asymmetric unit:
1 Ce 0.0965 0.5482 0.0679
2 Ce 0.1054 0.5527 0.7737
3 Sn 0.0735 0.5368 0.4115
4 Os 0.0000 0.0000 0.0000
5 Os 0.0000 0.0000 0.5000

Calculated X-ray diffraction stick pattern of Ce6Sn2Os for Cu Kα (λ = 1.5418 Å), from a DFT-relaxed cell (GGA-PBE, Alexandria).
Neutral-atom scattering factors, no anomalous dispersion.

Largest 10 diffraction maxima, sorted by position, 10 to 80 degrees two-theta:
- 7.372 Å, 2θ = 12.0°, rel. 22, (1 0 0)
- 2.885 Å, 2θ = 31.0°, rel. 97, (1 1 1)
- 2.786 Å, 2θ = 32.1°, rel. 58, (2 1 0)
- 2.687 Å, 2θ = 33.3°, rel. 100, (2 0 1)
- 2.457 Å, 2θ = 36.6°, rel. 57, (3 0 0)
- 2.272 Å, 2θ = 39.7°, rel. 58, (2 1 1)
- 1.962 Å, 2θ = 46.3°, rel. 25, (0 0 2)
- 1.604 Å, 2θ = 57.4°, rel. 22, (2 1 2)
- 1.553 Å, 2θ = 59.5°, rel. 45, (3 2 1)
- 1.533 Å, 2θ = 60.4°, rel. 27, (3 0 2)

Atomic structure:
Cell lengths 8.5124, 8.5124, 3.9245 Å; angles 90.00, 90.00, 120.00 degrees
Space group P-62m (No. 189)
Asymmetric unit:
1 Ce 0.0000 0.2451 0.0000
2 Ce 0.0000 0.6045 0.5000
3 Sn 0.3333 0.6667 0.0000
4 Os 0.0000 0.0000 0.5000

Calculated X-ray diffraction stick pattern of TbCeOs for Cu Kα (λ = 1.5418 Å), from a DFT-relaxed cell (GGA-PBE, Alexandria).
Neutral-atom scattering factors, no anomalous dispersion.

Largest 10 diffraction maxima, sorted by position, 10 to 80 degrees two-theta:
- 6.222 Å, 2θ = 14.2°, rel. 90, (0 0 1)
- 2.773 Å, 2θ = 32.3°, rel. 100, (1 1 1)
- 2.578 Å, 2θ = 34.8°, rel. 47, (1 1 -2)
- 2.542 Å, 2θ = 35.3°, rel. 61, (2 0 -2)
- 2.527 Å, 2θ = 35.5°, rel. 81, (0 1 2)
- 2.351 Å, 2θ = 38.3°, rel. 52, (2 1 0)
- 2.166 Å, 2θ = 41.7°, rel. 54, (0 2 0)
- 1.959 Å, 2θ = 46.3°, rel. 39, (1 1 -3)
- 1.648 Å, 2θ = 55.8°, rel. 40, (2 2 -2)
- 1.310 Å, 2θ = 72.1°, rel. 37, (1 0 -5)

Atomic structure:
Cell lengths 5.936, 4.331, 6.595 Å; angles 90.00, 109.37, 90.00 degrees
Space group P2_1/m (No. 11)
Asymmetric unit:
1 Tb 0.067 0.250 0.303
2 Ce 0.499 0.250 0.815
3 Os 0.359 0.750 0.566

Calculated X-ray diffraction stick pattern of Tb2CeOs for Cu Kα (λ = 1.5418 Å), from a DFT-relaxed cell (GGA-PBE, Alexandria).
Neutral-atom scattering factors, no anomalous dispersion.

Largest 10 diffraction maxima, sorted by position, 10 to 80 degrees two-theta:
- 4.275 Å, 2θ = 20.8°, rel. 48, (1 1 1)
- 2.926 Å, 2θ = 30.6°, rel. 46, (1 0 2)
- 2.833 Å, 2θ = 31.6°, rel. 89, (0 3 1)
- 2.796 Å, 2θ = 32.0°, rel. 64, (1 1 2)
- 2.637 Å, 2θ = 34.0°, rel. 100, (1 3 1)
- 2.621 Å, 2θ = 34.2°, rel. 76, (2 2 1)
- 2.378 Å, 2θ = 37.8°, rel. 56, (2 3 0)
- 2.322 Å, 2θ = 38.8°, rel. 58, (2 1 2)
- 2.254 Å, 2θ = 40.0°, rel. 45, (3 0 1)
- 1.879 Å, 2θ = 48.5°, rel. 53, (1 2 3)

Atomic structure:
Cell lengths 7.223, 9.477, 6.401 Å; angles 90.00, 90.00, 90.00 degrees
Space group Pnma (No. 62)
Asymmetric unit:
1 Tb 0.172 0.065 0.170
2 Ce 0.051 0.250 0.649
3 Os 0.130 0.750 0.978

Calculated X-ray diffraction stick pattern of Ce7Tc2Os2 for Cu Kα (λ = 1.5418 Å), from a DFT-relaxed cell (GGA-PBE, Alexandria).
Neutral-atom scattering factors, no anomalous dispersion.

Largest 10 diffraction maxima, sorted by position, 10 to 80 degrees two-theta:
- 3.031 Å, 2θ = 29.5°, rel. 28, (0 1 3)
- 2.916 Å, 2θ = 30.7°, rel. 45, (1 1 2)
- 2.868 Å, 2θ = 31.2°, rel. 17, (0 4 2)
- 2.780 Å, 2θ = 32.2°, rel. 32, (0 5 1)
- 2.551 Å, 2θ = 35.2°, rel. 100, (1 4 1)
- 2.537 Å, 2θ = 35.4°, rel. 24, (1 3 2)
- 2.421 Å, 2θ = 37.1°, rel. 35, (1 0 3)
- 2.297 Å, 2θ = 39.2°, rel. 31, (1 2 3)
- 2.152 Å, 2θ = 42.0°, rel. 19, (0 6 2)
- 1.935 Å, 2θ = 46.9°, rel. 29, (2 0 0)

Atomic structure:
Cell lengths 3.871, 14.566, 9.307 Å; angles 90.00, 90.00, 90.00 degrees
Space group Imm2 (No. 44)
Asymmetric unit:
1 Ce 0.000 0.000 0.000
2 Ce 0.000 0.108 0.393
3 Ce 0.000 0.305 0.623
4 Ce 0.000 0.375 0.243
5 Tc 0.000 0.000 0.659
6 Tc 0.000 0.500 0.690
7 Os 0.000 0.238 0.923

Calculated X-ray diffraction stick pattern of Ce8Tc3Os2 for Cu Kα (λ = 1.5418 Å), from a DFT-relaxed cell (GGA-PBE, Alexandria).
Neutral-atom scattering factors, no anomalous dispersion.

Largest 10 diffraction maxima, sorted by position, 10 to 80 degrees two-theta:
- 5.769 Å, 2θ = 15.4°, rel. 22, (0 0 1)
- 3.410 Å, 2θ = 26.1°, rel. 17, (2 2 0)
- 3.229 Å, 2θ = 27.6°, rel. 16, (2 2 -1)
- 2.797 Å, 2θ = 32.0°, rel. 51, (4 0 -2)
- 2.710 Å, 2θ = 33.1°, rel. 100, (2 2 1)
- 2.076 Å, 2θ = 43.6°, rel. 38, (6 2 -1)
- 2.018 Å, 2θ = 44.9°, rel. 15, (7 1 -1)
- 1.978 Å, 2θ = 45.9°, rel. 18, (0 4 0)
- 1.860 Å, 2θ = 49.0°, rel. 16, (4 0 2)
- 1.838 Å, 2θ = 49.6°, rel. 25, (2 2 -3)

Atomic structure:
Cell lengths 14.631, 7.910, 6.269 Å; angles 90.00, 113.04, 90.00 degrees
Space group C2/m (No. 12)
Asymmetric unit:
1 Ce 0.110 0.000 0.243
2 Ce 0.118 0.256 0.755
3 Ce 0.154 0.500 0.270
4 Tc 0.000 0.000 0.500
5 Tc 0.000 0.316 0.000
6 Os 0.248 0.000 0.065